[1]
Diffraction record for Ba3Lu2Zn5O11. The PXRD pattern is theoretical, not measured: it uses a DFT-relaxed cell (GGA-PBE, OQMD) and Cu Ka.
Intensities are scaled so that the largest is 100.

Largest 6 diffraction maxima, low angle first, 2θ from 5° to 70°:
2theta, Rel. int., index
22.90, 27, 2 2 2
28.93, 65, 3 3 1
32.60, 97, 4 2 2
34.64, 100, 5 1 1
37.82, 28, 4 4 0
58.18, 79, 6 6 0

Cell and atoms:
```
data_Ba3Lu2Zn5O11
_cell_length_a 13.455
_cell_length_b 13.455
_cell_length_c 13.455
_cell_angle_alpha 90.00
_cell_angle_beta 90.00
_cell_angle_gamma 90.00
_symmetry_space_group_name_H-M 'F -4 3 m'
_symmetry_Int_Tables_number 216
_symmetry_space_group_name_Hall 'F -4 2 3'
loop_
_atom_site_label
_atom_site_type_symbol
_atom_site_fract_x
_atom_site_fract_y
_atom_site_fract_z
_atom_site_occupancy
Ba1 Ba 0.000 0.000 0.205 1
Lu1 Lu 0.164 0.164 0.664 1
Zn1 Zn 0.083 0.250 0.250 1
Zn2 Zn 0.084 0.084 0.416 1
O1 O 0.000 0.000 0.000 1
O2 O 0.000 0.000 0.500 1
O3 O 0.002 0.166 0.666 1
O4 O 0.157 0.157 0.157 1
O5 O 0.169 0.169 0.831 1
```

=====

[2]
Diffraction record for Lu4PSN2. The PXRD pattern is theoretical, not measured: it uses a DFT-relaxed cell (GGA-PBE, OQMD) and Cu Ka.
Intensities are scaled so that the largest is 100.

Largest 6 diffraction maxima, low angle first, 2θ from 5° to 70°:
2theta, Rel. int., index
28.99, 31, 1 0 0
29.20, 22, 0 0 4
29.91, 45, 1 0 1
36.56, 100, 1 0 3
51.37, 31, 1 1 0
64.69, 19, 2 0 3

Cell and atoms:
```
data_Lu4PSN2
_cell_length_a 3.5571
_cell_length_b 3.5571
_cell_length_c 12.2322
_cell_angle_alpha 90.00
_cell_angle_beta 90.00
_cell_angle_gamma 120.00
_symmetry_space_group_name_H-M 'P -6 m 2'
_symmetry_Int_Tables_number 187
_symmetry_space_group_name_Hall 'P -6 2'
loop_
_atom_site_label
_atom_site_type_symbol
_atom_site_fract_x
_atom_site_fract_y
_atom_site_fract_z
_atom_site_occupancy
Lu1 Lu 0.0000 0.0000 0.1418 1
Lu2 Lu 0.3333 0.6667 0.3520 1
P1 P 0.3333 0.6667 0.0000 1
S1 S 0.0000 0.0000 0.5000 1
N1 N 0.6667 0.3333 0.2571 1
```

=====

[3]
Diffraction record for NpSb. The PXRD pattern is theoretical, not measured: it uses a DFT-relaxed cell (GGA-PBE, OQMD) and Cu Ka.
Intensities are scaled so that the largest is 100.

Largest 6 diffraction maxima, low angle first, 2θ from 5° to 70°:
2theta, Rel. int., index
24.81, 18, 1 1 1
28.72, 100, 2 0 0
41.07, 77, 2 2 0
50.89, 28, 2 2 2
59.49, 13, 4 0 0
67.37, 36, 4 2 0

Cell and atoms:
```
data_NpSb
_cell_length_a 6.216
_cell_length_b 6.216
_cell_length_c 6.216
_cell_angle_alpha 90.00
_cell_angle_beta 90.00
_cell_angle_gamma 90.00
_symmetry_space_group_name_H-M 'F m -3 m'
_symmetry_Int_Tables_number 225
_symmetry_space_group_name_Hall '-F 4 2 3'
loop_
_atom_site_label
_atom_site_type_symbol
_atom_site_fract_x
_atom_site_fract_y
_atom_site_fract_z
_atom_site_occupancy
Np1 Np 0.000 0.000 0.000 1
Sb1 Sb 0.000 0.000 0.500 1
```

=====

[4]
Diffraction record for TbYAg2O4. The PXRD pattern is theoretical, not measured: it uses a DFT-relaxed cell (GGA-PBE, OQMD) and Cu Ka.
Intensities are scaled so that the largest is 100.

Largest 6 diffraction maxima, low angle first, 2θ from 5° to 70°:
2theta, Rel. int., index
28.58, 39, 0 0 4
30.30, 58, 1 0 1
32.81, 100, 0 1 2
52.20, 31, 1 1 0
53.36, 31, 0 1 6
60.59, 27, 1 1 4

Cell and atoms:
```
data_TbYAg2O4
_cell_length_a 3.5048
_cell_length_b 3.5048
_cell_length_c 12.4929
_cell_angle_alpha 90.00
_cell_angle_beta 90.00
_cell_angle_gamma 120.00
_symmetry_space_group_name_H-M 'P -3 m 1'
_symmetry_Int_Tables_number 164
_symmetry_space_group_name_Hall '-P 3 2"'
loop_
_atom_site_label
_atom_site_type_symbol
_atom_site_fract_x
_atom_site_fract_y
_atom_site_fract_z
_atom_site_occupancy
Tb1 Tb 0.0000 0.0000 0.0000 1
Y1 Y 0.0000 0.0000 0.5000 1
Ag1 Ag 0.3333 0.6667 0.7497 1
O1 O 0.3333 0.6667 0.5841 1
O2 O 0.3333 0.6667 0.9153 1
```

=====

[5]
Diffraction record for CdCu2SiSe2S2. The PXRD pattern is theoretical, not measured: it uses a DFT-relaxed cell (GGA-PBE, OQMD) and Cu Ka.
Intensities are scaled so that the largest is 100.

Largest 6 diffraction maxima, low angle first, 2θ from 5° to 70°:
2theta, Rel. int., index
27.82, 84, 1 1 1
28.13, 100, 3 1 -1
45.69, 40, 2 2 -2
46.47, 21, 2 0 2
46.93, 40, 4 2 0
47.27, 18, 6 0 -2

Cell and atoms:
```
data_CdCu2SiSe2S2
_cell_length_a 12.012
_cell_length_b 5.609
_cell_length_c 5.625
_cell_angle_alpha 90.00
_cell_angle_beta 117.00
_cell_angle_gamma 90.00
_symmetry_space_group_name_H-M 'C 1 2 1'
_symmetry_Int_Tables_number 5
loop_
_symmetry_equiv_pos_as_xyz
'x,y,z'
'-x,y,-z'
'x+1/2,y+1/2,z'
'-x+1/2,y+1/2,-z'
loop_
_atom_site_label
_atom_site_type_symbol
_atom_site_fract_x
_atom_site_fract_y
_atom_site_fract_z
_atom_site_occupancy
Cd1 Cd 0.000 0.000 0.000 1
Cu1 Cu 0.250 0.007 0.722 1
Si1 Si 0.000 0.523 0.500 1
Se1 Se 0.134 0.292 0.856 1
S1 S 0.128 0.734 0.408 1
```

=====

[6]
Diffraction record for Zr2HO6. The PXRD pattern is theoretical, not measured: it uses a DFT-relaxed cell (GGA-PBE, OQMD) and Cu Ka.
Intensities are scaled so that the largest is 100.

Largest 6 diffraction maxima, low angle first, 2θ from 5° to 70°:
2theta, Rel. int., index
15.83, 22, 0 0 1
19.44, 100, 0 1 0
25.72, 31, 1 0 0
26.36, 49, 1 1 1
32.15, 50, 0 1 2
37.09, 28, 1 2 1

Cell and atoms:
```
data_Zr2HO6
_cell_length_a 3.753
_cell_length_b 5.130
_cell_length_c 6.062
_cell_angle_alpha 68.89
_cell_angle_beta 75.31
_cell_angle_gamma 68.83
_symmetry_space_group_name_H-M 'P 1'
_symmetry_Int_Tables_number 1
loop_
_symmetry_equiv_pos_as_xyz
'x,y,z'
loop_
_atom_site_label
_atom_site_type_symbol
_atom_site_fract_x
_atom_site_fract_y
_atom_site_fract_z
_atom_site_occupancy
Zr1 Zr 0.000 0.000 0.000 1
Zr2 Zr 0.242 0.139 0.430 1
H1 H 0.690 0.543 0.693 1
O1 O 0.316 0.811 0.747 1
O2 O 0.398 0.151 0.055 1
O3 O 0.438 0.574 0.234 1
O4 O 0.806 0.567 0.199 1
O5 O 0.844 0.989 0.377 1
O6 O 0.910 0.359 0.680 1
```

=====

[7]
Diffraction record for Dy2Tm2AlNi2Ge4. The PXRD pattern is theoretical, not measured: it uses a DFT-relaxed cell (GGA-PBE, OQMD) and Cu Ka.
Intensities are scaled so that the largest is 100.

Largest 6 diffraction maxima, low angle first, 2θ from 5° to 70°:
2theta, Rel. int., index
33.88, 74, 3 1 1
35.01, 100, 3 1 -2
36.53, 64, 5 1 -1
36.87, 88, 1 1 2
37.72, 31, 5 1 0
42.69, 59, 0 2 0

Cell and atoms:
```
data_Dy2Tm2AlNi2Ge4
_cell_length_a 15.230
_cell_length_b 4.236
_cell_length_c 6.882
_cell_angle_alpha 90.00
_cell_angle_beta 108.66
_cell_angle_gamma 90.00
_symmetry_space_group_name_H-M 'C 1 2/m 1'
_symmetry_Int_Tables_number 12
loop_
_symmetry_equiv_pos_as_xyz
'x,y,z'
'-x,-y,-z'
'-x,y,-z'
'x,-y,z'
'x+1/2,y+1/2,z'
'-x+1/2,-y+1/2,-z'
'-x+1/2,y+1/2,-z'
'x+1/2,-y+1/2,z'
loop_
_atom_site_label
_atom_site_type_symbol
_atom_site_fract_x
_atom_site_fract_y
_atom_site_fract_z
_atom_site_occupancy
Dy1 Dy 0.090 0.000 0.387 1
Tm1 Tm 0.155 0.000 0.939 1
Al1 Al 0.000 0.500 0.000 1
Ni1 Ni 0.217 0.500 0.648 1
Ge1 Ge 0.064 0.500 0.671 1
Ge2 Ge 0.201 0.500 0.266 1
```

=====

[8]
Diffraction record for Li2NiGe2Pt. The PXRD pattern is theoretical, not measured: it uses a DFT-relaxed cell (GGA-PBE, OQMD) and Cu Ka.
Intensities are scaled so that the largest is 100.

Largest 6 diffraction maxima, low angle first, 2θ from 5° to 70°:
2theta, Rel. int., index
24.05, 100, 1 0 0
29.38, 30, 1 0 1
33.62, 46, 0 0 2
41.76, 55, 1 0 2
42.30, 80, 1 1 0
55.09, 66, 1 1 2

Cell and atoms:
```
data_Li2NiGe2Pt
_cell_length_a 4.2731
_cell_length_b 4.2731
_cell_length_c 5.3318
_cell_angle_alpha 90.00
_cell_angle_beta 90.00
_cell_angle_gamma 120.00
_symmetry_space_group_name_H-M 'P -6 m 2'
_symmetry_Int_Tables_number 187
_symmetry_space_group_name_Hall 'P -6 2'
loop_
_atom_site_label
_atom_site_type_symbol
_atom_site_fract_x
_atom_site_fract_y
_atom_site_fract_z
_atom_site_occupancy
Li1 Li 0.0000 0.0000 0.2462 1
Ni1 Ni 0.6667 0.3333 0.0000 1
Ge1 Ge 0.3333 0.6667 0.0000 1
Ge2 Ge 0.6667 0.3333 0.5000 1
Pt1 Pt 0.3333 0.6667 0.5000 1
```